(1)
Computed powder diffractogram of CeCdFe for Cu Kα X-rays, from the GGA-PBE geometry in Alexandria.

Cell and atoms:
Unit cell a=3.195 b=3.947 c=10.153 alpha=90.00 beta=90.07 gamma=90.00
Element x y z (fractional)
Ce 0.000 0.000 0.000
Ce 0.498 0.500 0.387
Cd 0.499 0.500 0.777
Cd 0.999 0.000 0.610
Fe 0.002 0.000 0.212
Fe 0.502 0.500 0.175

Largest 10 diffraction maxima, in order of falling intensity, 10 to 80 degrees two-theta:
2θ 36.2, I 100; 2θ 28.6, I 59; 2θ 34.9, I 46; 2θ 33.1, I 40; 2θ 58.7, I 39; 2θ 38.8, I 35; 2θ 46.0, I 25; 2θ 44.6, I 23; 2θ 61.7, I 17; 2θ 57.8, I 16

(2)
Computed powder diffractogram of Ce3CdGa5 for Cu Kα X-rays, from the GGA-PBE geometry in Alexandria.

Cell and atoms:
Unit cell a=8.666 b=8.666 c=6.202 alpha=90.00 beta=90.00 gamma=120.00
Element x y z (fractional)
Ce 0.000 0.358 0.250
Ce 0.000 0.642 0.750
Ce 0.358 0.000 0.250
Ce 0.358 0.358 0.750
Ce 0.642 0.000 0.750
Ce 0.642 0.642 0.250
Cd 0.000 0.000 0.000
Cd 0.000 0.000 0.500
Ga 0.000 0.311 0.750
Ga 0.000 0.689 0.250
Ga 0.311 0.000 0.750
Ga 0.311 0.311 0.250
Ga 0.333 0.667 0.000
Ga 0.333 0.667 0.500
Ga 0.667 0.333 0.000
Ga 0.667 0.333 0.500
Ga 0.689 0.000 0.250
Ga 0.689 0.689 0.750

Largest 10 diffraction maxima, in order of falling intensity, 10 to 80 degrees two-theta:
2θ 35.9, I 100; 2θ 35.6, I 92; 2θ 71.6, I 29; 2θ 51.5, I 29; 2θ 64.3, I 27; 2θ 25.1, I 19; 2θ 46.7, I 15; 2θ 64.5, I 14; 2θ 28.8, I 11; 2θ 34.8, I 11

(3)
Computed powder diffractogram of Ce8CdGa2 for Cu Kα X-rays, from the GGA-PBE geometry in Alexandria.

Cell and atoms:
Unit cell a=8.490 b=8.490 c=8.490 alpha=145.72 beta=120.62 gamma=70.39
Element x y z (fractional)
Ce 0.126 0.334 0.792
Ce 0.175 0.175 0.000
Ce 0.338 0.000 0.338
Ce 0.459 0.666 0.792
Ce 0.541 0.334 0.208
Ce 0.662 0.000 0.662
Ce 0.825 0.825 0.000
Ce 0.874 0.666 0.208
Cd 0.000 0.500 0.500
Ga 0.302 0.802 0.500
Ga 0.698 0.198 0.500

Largest 10 diffraction maxima, in order of falling intensity, 10 to 80 degrees two-theta:
2θ 33.9, I 100; 2θ 35.9, I 32; 2θ 24.3, I 27; 2θ 38.9, I 22; 2θ 32.6, I 20; 2θ 33.2, I 18; 2θ 54.0, I 17; 2θ 63.2, I 16; 2θ 49.2, I 13; 2θ 67.3, I 10